(1)
BiB3H12: simulated powder X-ray diffraction pattern (a wavelength of 1.5418 Å), based on a crystal structure in Alexandria, relaxed with PBE.
Lines closer than 0.1° are merged.

Structural model:
Lattice parameters (Å, degrees): 7.9236 7.9236 19.5049 90.00 90.00 120.00
Space group R-3c (No. 167, hexagonal axes)
Unique sites:
Bi: 0.0000 0.0000 0.0000 x6
B: 0.0000 0.4979 0.2500 x18
H: 0.0012 0.1959 0.5961 x36
H: 0.0099 0.4122 0.7002 x36

Most intense lines, 2θ = 10–90°, in order of rising 2θ:
h k l	2theta	I/Imax
0 1 2	15.8	100.0
1 1 0	22.4	66.5
2 0 2	27.6	16.6
0 2 4	31.9	21.1
1 2 2	35.8	51.8
0 1 8	39.2	8.9
3 0 0	39.4	26.6
0 3 6	48.7	22.5
1 2 8	51.4	8.3
2 2 6	54.2	9.5
3 2 4	61.9	9.8
5 0 2	69.1	9.8

---

(2)
LiPmSiAg: simulated powder X-ray diffraction pattern (a wavelength of 1.5418 Å), based on a crystal structure in Alexandria, relaxed with PBE.
Lines closer than 0.1° are merged.

Structural model:
Lattice parameters (Å, degrees): 6.7448 6.7448 6.7448 90.00 90.00 90.00
Space group F-43m (No. 216)
Unique sites:
Li: 0.0000 0.0000 0.0000 x4
Pm: 0.2500 0.2500 0.2500 x4
Si: 0.0000 0.0000 0.5000 x4
Ag: 0.2500 0.2500 0.7500 x4

Most intense lines, 2θ = 10–90°, in order of rising 2θ:
h k l	2theta	I/Imax
1 1 1	22.8	5.0
2 0 0	26.4	75.6
2 2 0	37.7	100.0
3 1 1	44.6	2.6
2 2 2	46.6	21.5
4 0 0	54.4	16.9
3 3 1	59.8	1.2
4 2 0	61.5	27.7
4 2 2	68.1	34.0
4 4 0	80.6	10.7
5 3 1	85.1	1.0
6 0 0	86.6	13.5

---

(3)
Ta2Ag2AsS6: simulated powder X-ray diffraction pattern (a wavelength of 1.5418 Å), based on a crystal structure in Alexandria, relaxed with PBE.
Lines closer than 0.1° are merged.

Structural model:
Lattice parameters (Å, degrees): 6.5096 10.4610 7.3046 90.00 98.45 90.00
Space group C2/m (No. 12)
Unique sites:
Ta: 0.0000 0.1356 0.0000 x4
Ag: 0.0000 0.3616 0.5000 x4
As: 0.0000 0.5000 0.0000 x2
S: 0.1508 0.3268 0.8173 x8
S: 0.1577 0.0000 0.7904 x4

Most intense lines, 2θ = 10–90°, in order of rising 2θ:
h k l	2theta	I/Imax
0 0 1	12.2	77.4
1 1 -1	19.1	57.8
1 1 1	21.5	49.0
0 0 2	24.6	48.7
2 0 0	27.7	49.3
1 3 -1	30.9	100.0
1 3 1	32.5	26.5
2 0 -2	34.5	27.7
2 0 2	40.2	36.2
1 3 -3	46.3	24.6
1 3 3	49.7	29.9
3 3 -1	49.9	32.9

---

(4)
LiMnSi2S6: simulated powder X-ray diffraction pattern (a wavelength of 1.5418 Å), based on a crystal structure in Alexandria, relaxed with PBE.
Lines closer than 0.1° are merged.

Structural model:
Lattice parameters (Å, degrees): 13.7152 10.6188 6.6902 90.00 118.71 90.00
Space group C2/c (No. 15)
Unique sites:
Li: 0.0000 0.2349 0.2500 x4
Mn: 0.0000 0.3098 0.7500 x4
Si: 0.2222 0.0955 0.7577 x8
S: 0.1041 0.3898 0.1129 x8
S: 0.1448 0.2769 0.6754 x8
S: 0.1469 0.0282 0.4042 x8

Most intense lines, 2θ = 10–90°, in order of rising 2θ:
h k l	2theta	I/Imax
1 1 -1	15.7	39.0
1 1 1	21.5	35.8
2 2 0	22.3	25.0
2 2 -1	22.7	100.0
3 1 0	23.7	30.3
1 3 0	26.2	66.1
0 0 2	30.5	20.6
1 3 1	32.2	28.3
5 1 -1	33.8	34.6
1 1 2	35.8	22.0
0 4 1	37.2	26.6
6 2 -2	44.1	26.4

---

(5)
AcMg11Zn: simulated powder X-ray diffraction pattern (a wavelength of 1.5418 Å), based on a crystal structure in Alexandria, relaxed with PBE.
Lines closer than 0.1° are merged.

Structural model:
Lattice parameters (Å, degrees): 5.9409 14.4967 7.7707 90.00 111.42 90.00
Space group C2/m (No. 12)
Unique sites:
Ac: 0.0000 0.0000 0.0000 x2
Mg: 0.0000 0.0000 0.5000 x2
Mg: 0.1029 0.3935 0.2229 x8
Mg: 0.1806 0.1744 0.3578 x8
Mg: 0.2500 0.2500 0.0000 x4
Zn: 0.0000 0.5000 0.5000 x2

Most intense lines, 2θ = 10–90°, in order of rising 2θ:
h k l	2theta	I/Imax
0 2 0	12.2	75.9
1 1 0	17.2	17.6
1 1 -1	17.3	66.8
1 1 1	24.3	32.1
1 3 -1	24.6	58.9
0 2 2	27.5	35.1
1 3 1	30.0	45.7
1 3 -2	30.4	17.6
2 2 0	34.7	50.5
0 4 2	35.1	100.0
1 1 -3	35.3	26.9
2 6 0	50.1	16.1

---

(6)
LiAl5Zn: simulated powder X-ray diffraction pattern (a wavelength of 1.5418 Å), based on a crystal structure in Alexandria, relaxed with PBE.
Lines closer than 0.1° are merged.

Structural model:
Lattice parameters (Å, degrees): 5.1035 5.2406 9.4296 90.00 90.00 90.00
Space group Imm2 (No. 44)
Unique sites:
Li: 0.0000 0.0000 0.0000 x2
Al: 0.0000 0.0000 0.7300 x2
Al: 0.0000 0.2534 0.2499 x4
Al: 0.2479 0.5000 0.9787 x4
Zn: 0.0000 0.5000 0.6363 x2

Most intense lines, 2θ = 10–90°, in order of rising 2θ:
h k l	2theta	I/Imax
0 0 2	18.8	43.8
1 0 1	19.8	39.4
1 1 2	31.0	41.9
0 1 3	33.2	67.9
1 0 3	33.5	41.9
0 2 2	39.3	24.6
1 2 1	39.8	100.0
2 0 2	40.2	65.8
2 1 1	40.5	51.1
1 1 4	45.8	30.3
2 2 4	64.5	32.4
3 2 1	66.2	21.3

---

(7)
MgTlGe: simulated powder X-ray diffraction pattern (a wavelength of 1.5418 Å), based on a crystal structure in Alexandria, relaxed with PBE.
Lines closer than 0.1° are merged.

Structural model:
Lattice parameters (Å, degrees): 4.3018 10.5970 3.2006 90.00 90.00 90.00
Space group Pmn2_1 (No. 31)
Unique sites:
Mg: 0.0000 0.0885 0.0000 x2
Tl: 0.0000 0.3864 0.4956 x2
Ge: 0.0000 0.8206 0.0012 x2

Most intense lines, 2θ = 10–90°, in order of rising 2θ:
h k l	2theta	I/Imax
1 1 0	22.3	16.2
1 2 0	26.7	100.0
0 1 1	29.1	50.8
0 2 1	32.7	28.9
1 3 0	32.8	48.9
0 4 0	33.8	24.9
1 1 1	36.0	71.8
2 0 0	42.0	25.2
1 3 1	43.6	33.8
1 4 1	49.4	18.3
2 1 1	51.9	20.7
1 2 2	64.6	17.3

---

(8)
Rb2LiNdB2O6: simulated powder X-ray diffraction pattern (a wavelength of 1.5418 Å), based on a crystal structure in Alexandria, relaxed with PBE.
Lines closer than 0.1° are merged.

Structural model:
Lattice parameters (Å, degrees): 7.2135 9.8351 10.2408 90.00 90.00 90.00
Space group Pbcm (No. 57)
Unique sites:
Rb: 0.2241 0.0826 0.0562 x8
Li: 0.0520 0.1514 0.7500 x4
Nd: 0.3596 0.7364 0.2500 x4
B: 0.1907 0.7500 0.0000 x4
B: 0.3455 0.0612 0.7500 x4
O: 0.1005 0.6963 0.6072 x8
O: 0.1917 0.5235 0.2500 x4
O: 0.3187 0.2019 0.7500 x4
O: 0.3857 0.7500 0.0000 x4
O: 0.4772 0.5060 0.7500 x4

Most intense lines, 2θ = 10–90°, in order of rising 2θ:
h k l	2theta	I/Imax
1 0 2	21.3	43.5
1 1 2	23.1	75.3
2 0 0	24.7	34.0
0 2 2	25.1	39.5
2 1 0	26.3	27.3
1 3 0	29.9	100.0
1 1 3	30.4	72.2
2 1 2	31.7	19.6
0 0 4	35.0	19.3
0 4 2	40.7	34.8
2 3 2	41.2	28.3
2 1 4	44.4	21.4

---

(9)
Np2Ag4Se5: simulated powder X-ray diffraction pattern (a wavelength of 1.5418 Å), based on a crystal structure in Alexandria, relaxed with PBE.
Lines closer than 0.1° are merged.

Structural model:
Lattice parameters (Å, degrees): 4.2896 4.2896 52.5591 90.00 90.00 120.00
Space group R-3m (No. 166, hexagonal axes)
Unique sites:
Np: 0.0000 0.0000 0.1354 x6
Ag: 0.0000 0.0000 0.3112 x6
Ag: 0.0000 0.0000 0.4173 x6
Se: 0.0000 0.0000 0.2265 x6
Se: 0.0000 0.0000 0.3684 x6
Se: 0.0000 0.0000 0.5000 x3

Most intense lines, 2θ = 10–90°, in order of rising 2θ:
h k l	2theta	I/Imax
1 0 4	24.9	45.3
1 0 7	26.8	21.8
0 1 8	27.6	17.4
0 1 11	30.5	100.0
0 0 18	30.6	19.3
0 1 14	33.9	29.9
1 1 0	42.1	87.8
1 0 22	45.1	44.7
2 0 11	52.9	45.9
1 2 11	69.8	18.3
3 0 0	77.0	17.8
2 1 22	79.1	16.3

---

(10)
Li4Cd2Pb3: simulated powder X-ray diffraction pattern (a wavelength of 1.5418 Å), based on a crystal structure in Alexandria, relaxed with PBE.
Lines closer than 0.1° are merged.

Structural model:
Lattice parameters (Å, degrees): 7.8032 5.8802 9.3958 90.00 107.05 90.00
Space group P2_1/c (No. 14)
Unique sites:
Li: 0.0004 0.2484 0.2496 x4
Li: 0.3576 0.0010 0.7390 x4
Cd: 0.3394 0.5028 0.8836 x4
Pb: 0.0000 0.0000 0.5000 x2
Pb: 0.2394 0.0006 0.0355 x4

Most intense lines, 2θ = 10–90°, in order of rising 2θ:
h k l	2theta	I/Imax
0 0 2	19.8	98.2
1 1 1	23.2	32.8
2 1 -1	27.6	100.0
0 2 0	30.4	67.9
2 1 1	32.4	27.1
2 1 -3	35.9	64.9
0 2 2	36.5	47.9
3 1 -1	37.8	30.1
1 0 -4	38.3	19.9
1 1 3	38.7	45.9
1 2 -4	49.7	17.9
1 2 -6	68.1	23.6

---

(11)
Nb3VOs: simulated powder X-ray diffraction pattern (a wavelength of 1.5418 Å), based on a crystal structure in Alexandria, relaxed with PBE.
Lines closer than 0.1° are merged.

Structural model:
Lattice parameters (Å, degrees): 7.1066 7.1066 4.0874 90.00 90.00 120.00
Space group P6_3/m (No. 176)
Unique sites:
Nb: 0.0871 0.6855 0.2500 x6
V: 0.0000 0.0000 0.2500 x2
Os: 0.3333 0.6667 0.7500 x2

Most intense lines, 2θ = 10–90°, in order of rising 2θ:
h k l	2theta	I/Imax
1 0 0	14.4	36.7
1 1 0	25.1	33.2
1 0 1	26.2	20.0
1 1 1	33.4	68.2
2 0 1	36.6	100.0
2 1 0	38.7	33.7
3 0 0	44.1	49.0
0 0 2	44.3	36.8
1 2 1	44.8	87.6
3 0 2	64.3	31.4
3 2 1	70.6	34.9
1 4 2	86.8	22.6

---

(12)
Ti2Ni3Pt4: simulated powder X-ray diffraction pattern (a wavelength of 1.5418 Å), based on a crystal structure in Alexandria, relaxed with PBE.
Lines closer than 0.1° are merged.

Structural model:
Lattice parameters (Å, degrees): 8.5169 3.8697 8.0301 90.00 107.94 90.00
Space group C2/m (No. 12)
Unique sites:
Ti: 0.1719 0.0000 0.2275 x4
Ni: 0.0000 0.5000 0.0000 x2
Ni: 0.1612 0.0000 0.5460 x4
Pt: 0.0109 0.5000 0.3371 x4
Pt: 0.1638 0.0000 0.8887 x4

Most intense lines, 2θ = 10–90°, in order of rising 2θ:
h k l	2theta	I/Imax
2 0 -1	21.4	28.2
2 0 -2	26.7	25.9
1 1 1	29.5	35.3
1 1 2	37.1	16.7
3 1 0	40.7	100.0
1 1 -3	41.0	99.7
0 2 0	47.0	35.5
2 0 3	47.7	36.0
4 0 -3	48.0	31.1
2 2 3	69.2	23.6
4 2 -3	69.4	20.3
1 1 6	84.3	23.3